Diffraction record for KU2Pd2S6. The powder diffractogram is computed, not measured: it uses a cell relaxed with GGA-PBE and copper Kα.

Structure:
Cell lengths 6.9899, 7.0747, 7.2383 Å; angles 67.06, 61.49, 60.83 degrees
Space group P-1 (No. 2)
Inequivalent atoms, fractional coordinates:
K: 0.0000 0.0000 0.0000
U: 0.3356 0.9993 0.3297
Pd: 0.2773 0.5593 0.6799
S: 0.0837 0.7684 0.4298
S: 0.2990 0.2401 0.9550
S: 0.4706 0.7705 0.6603

Largest 12 diffraction maxima, most intense first, 2θ = 15–90°:
2θ (°)  I/Imax  index
15.68  100  1 1 1
30.28  85  -1 1 1
36.44  63  1 -1 2
27.27  56  1 0 2
29.58  55  2 2 1
25.49  39  2 1 1
15.55  35  1 0 0
39.54  35  2 3 1
24.82  31  1 1 2
44.61  31  3 2 3
43.62  26  0 0 3
29.41  25  2 0 1

Diffraction record for SiHg2Pb2. The powder diffractogram is computed, not measured: it uses a cell relaxed with GGA-PBE and copper Kα.

Structure:
Cell lengths 7.1147, 7.1147, 5.2773 Å; angles 90.00, 90.00, 90.00 degrees
Space group P4/mbm (No. 127)
Inequivalent atoms, fractional coordinates:
Si: 0.0000 0.0000 0.0000
Hg: 0.1457 0.3543 0.0000
Pb: 0.1751 0.6751 0.5000

Largest 12 diffraction maxima, most intense first, 2θ = 15–90°:
2θ (°)  I/Imax  index
32.87  100  2 1 1
33.97  22  0 0 2
60.10  18  2 1 3
56.07  16  4 1 1
40.08  16  3 1 0
53.53  14  3 1 2
25.03  13  2 0 0
17.63  12  1 1 0
73.96  11  5 2 1
66.01  10  3 3 2
54.74  8  3 3 0
42.66  7  2 0 2

Diffraction record for SmErTm5. The powder diffractogram is computed, not measured: it uses a cell relaxed with GGA-PBE and copper Kα.

Structure:
Cell lengths 9.1524, 3.5618, 13.6698 Å; angles 90.00, 103.09, 90.00 degrees
Space group P2_1/m (No. 11)
Inequivalent atoms, fractional coordinates:
Sm: 0.1050 0.2500 0.1256
Er: 0.3460 0.7500 0.3067
Tm: 0.0000 0.2500 0.6269
Tm: 0.2057 0.2500 0.8828
Tm: 0.3230 0.2500 0.5098
Tm: 0.3495 0.7500 0.7243
Tm: 0.4160 0.7500 0.0793

Largest 12 diffraction maxima, most intense first, 2θ = 15–90°:
2θ (°)  I/Imax  index
32.20  100  3 0 -3
32.35  93  3 0 1
31.19  69  1 1 2
33.09  40  2 1 -2
33.66  32  0 0 5
51.30  26  0 2 0
30.73  26  1 0 4
30.06  24  3 0 0
35.16  23  2 0 -5
61.92  22  3 2 1
29.64  21  2 0 -4
31.91  20  2 1 -1